SiH3I: simulated PXRD pattern (CuKα), based on a DFT-relaxed cell (PBE, the Materials Project).
Peak positions follow from Bragg's law for the DFT cell and can differ from measured ones.

Cell: 4.902 8.878 11.042 Å, 90.00 104.51 90.00°
Fractional positions:
Si (0.061, 0.074, 0.290)
Si (0.061, 0.426, 0.790)
Si (0.939, 0.574, 0.210)
Si (0.939, 0.926, 0.710)
H (0.065, 0.027, 0.631)
H (0.065, 0.473, 0.131)
H (0.158, 0.659, 0.302)
H (0.158, 0.841, 0.802)
H (0.255, 0.508, 0.729)
H (0.255, 0.992, 0.229)
H (0.745, 0.008, 0.771)
H (0.745, 0.492, 0.271)
H (0.842, 0.159, 0.198)
H (0.842, 0.341, 0.698)
H (0.935, 0.527, 0.869)
H (0.935, 0.973, 0.369)
I (0.352, 0.237, 0.931)
I (0.352, 0.263, 0.431)
I (0.648, 0.737, 0.569)
I (0.648, 0.763, 0.069)

Peak list (10 most intense, 10 to 80 degrees two-theta, in order of rising 2θ)
- hkl 0 1 2, 2θ = 19.4°, intensity 1000
- hkl 0 2 0, 2θ = 20.0°, intensity 485
- hkl 1 1 0, 2θ = 21.2°, intensity 871
- hkl 1 0 -2, 2θ = 21.7°, intensity 943
- hkl 0 2 2, 2θ = 26.1°, intensity 457
- hkl 1 2 0, 2θ = 27.5°, intensity 349
- hkl 1 2 -2, 2θ = 29.7°, intensity 399
- hkl 1 1 2, 2θ = 29.9°, intensity 436
- hkl 0 1 4, 2θ = 35.1°, intensity 285
- hkl 1 3 2, 2θ = 41.7°, intensity 262